[1]
For LaNdTmPu, a GGA-PBE-relaxed structure gives the theoretical X-ray powder pattern in this record (a wavelength of 1.5418 Å).
Intensities are scaled so that the largest is 100.

Principal peaks in the range 2θ = 10–90°, low angle first:
hkl, 2theta, d [Å], I/Imax
1 1 1, 19.10, 4.646, 2
2 0 0, 22.09, 4.023, 4
2 2 0, 31.45, 2.845, 100
3 1 1, 37.06, 2.426, 1
4 0 0, 45.07, 2.012, 19
4 2 0, 50.74, 1.799, 2
4 2 2, 55.99, 1.642, 40
4 4 0, 65.64, 1.422, 12
6 2 0, 74.60, 1.272, 17
4 4 4, 83.18, 1.161, 4

Cell: 8.046 8.046 8.046 Å, 90.00 90.00 90.00°
Space group F-43m (No. 216)
Asymmetric unit:
1 La 0.000 0.000 0.000
2 Nd 0.000 0.000 0.500
3 Tm 0.250 0.250 0.750
4 Pu 0.250 0.250 0.250

=====

[2]
For LaNd3Rh2, a GGA-PBE-relaxed structure gives the theoretical X-ray powder pattern in this record (a wavelength of 1.5418 Å).
Intensities are scaled so that the largest is 100.

Principal peaks in the range 2θ = 10–90°, low angle first:
hkl, 2theta, d [Å], I/Imax
2 0 -2, 15.12, 5.858, 16
4 0 0, 24.65, 3.612, 14
2 0 2, 26.19, 3.403, 34
6 0 -2, 31.66, 2.826, 100
5 1 1, 42.42, 2.131, 45
7 1 -5, 48.21, 1.888, 31
4 0 4, 53.89, 1.701, 22
2 2 -6, 66.13, 1.413, 12
1 3 -3, 70.88, 1.330, 19
7 3 -5, 81.78, 1.178, 13

Cell: 16.977 4.262 11.975 Å, 90.00 121.71 90.00°
Space group C2/m (No. 12)
Asymmetric unit:
1 La 0.062 0.000 0.189
2 Nd 0.064 0.500 0.689
3 Nd 0.187 0.000 0.562
4 Nd 0.190 0.500 0.063
5 Rh 0.124 0.000 0.876
6 Rh 0.124 0.500 0.374

=====

[3]
For LaNd3Rh3, a GGA-PBE-relaxed structure gives the theoretical X-ray powder pattern in this record (a wavelength of 1.5418 Å).
Intensities are scaled so that the largest is 100.

Principal peaks in the range 2θ = 10–90°, low angle first:
hkl, 2theta, d [Å], I/Imax
1 1 0, 12.53, 7.066, 27
1 1 2, 27.89, 3.199, 27
1 3 1, 29.89, 2.989, 35
2 0 2, 31.26, 2.861, 59
3 1 -1, 31.78, 2.816, 37
0 4 0, 34.14, 2.626, 66
2 2 -2, 35.46, 2.532, 100
1 3 2, 37.09, 2.424, 46
4 0 0, 37.68, 2.387, 33
0 2 4, 53.79, 1.704, 42

Cell: 9.549 10.505 7.203 Å, 90.00 90.59 90.00°
Space group C2/m (No. 12)
Asymmetric unit:
1 La 0.250 0.000 0.130
2 Nd 0.000 0.180 0.500
3 Nd 0.000 0.247 0.000
4 Nd 0.173 0.500 0.377
5 Rh 0.066 0.000 0.805
6 Rh 0.247 0.256 0.721

=====

[4]
For La6NdRh4, a GGA-PBE-relaxed structure gives the theoretical X-ray powder pattern in this record (a wavelength of 1.5418 Å).
Intensities are scaled so that the largest is 100.

Principal peaks in the range 2θ = 10–90°, low angle first:
hkl, 2theta, d [Å], I/Imax
2 0 -1, 29.17, 3.062, 75
0 2 0, 29.98, 2.980, 89
2 0 -2, 31.16, 2.870, 69
0 2 -2, 32.42, 2.762, 28
0 0 3, 32.72, 2.737, 100
0 2 1, 34.49, 2.601, 27
2 0 1, 36.60, 2.455, 46
0 2 -3, 38.71, 2.326, 44
2 -2 0, 41.45, 2.179, 40
2 2 -2, 42.03, 2.150, 49

Cell: 6.127 6.156 9.008 Å, 103.33 109.73 90.78°
Space group P1 (No. 1)
Asymmetric unit:
1 La 0.000 0.000 0.000
2 La 0.049 0.534 0.665
3 La 0.117 0.599 0.285
4 La 0.394 0.039 0.661
5 La 0.493 0.476 0.034
6 La 0.662 0.074 0.319
7 Nd 0.550 0.538 0.654
8 Rh 0.186 0.151 0.368
9 Rh 0.474 0.923 0.949
10 Rh 0.662 0.598 0.368
11 Rh 0.942 0.476 0.949

=====

[5]
For La3NdRu, a GGA-PBE-relaxed structure gives the theoretical X-ray powder pattern in this record (a wavelength of 1.5418 Å).
Intensities are scaled so that the largest is 100.

Principal peaks in the range 2θ = 10–90°, low angle first:
hkl, 2theta, d [Å], I/Imax
0 0 2, 27.31, 3.265, 27
2 1 1, 29.59, 3.019, 100
0 2 1, 29.85, 2.993, 48
2 1 2, 38.19, 2.357, 31
0 2 2, 38.40, 2.344, 16
2 3 0, 46.53, 1.952, 26
2 1 3, 49.71, 1.834, 24
2 3 2, 54.80, 1.675, 16
4 2 1, 55.80, 1.647, 16
2 3 4, 76.02, 1.252, 18

Cell: 7.892 6.736 6.530 Å, 90.00 90.00 90.00°
Space group Pmn2_1 (No. 31)
Asymmetric unit:
1 La 0.000 0.157 0.000
2 La 0.248 0.676 0.996
3 Nd 0.000 0.838 0.498
4 Ru 0.000 0.490 0.242

=====

[6]
For La6NdRu4, a GGA-PBE-relaxed structure gives the theoretical X-ray powder pattern in this record (a wavelength of 1.5418 Å).
Intensities are scaled so that the largest is 100.

Principal peaks in the range 2θ = 10–90°, low angle first:
hkl, 2theta, d [Å], I/Imax
1 1 -2, 30.23, 2.956, 88
1 1 1, 30.46, 2.935, 100
2 -2 0, 31.28, 2.860, 65
-2 2 1, 33.40, 2.682, 31
2 0 -2, 33.91, 2.643, 26
0 2 -2, 34.35, 2.611, 27
1 -2 2, 35.03, 2.562, 24
-1 2 2, 38.57, 2.334, 29
0 3 0, 43.67, 2.073, 30
2 2 -1, 47.88, 1.900, 23

Cell: 6.839 6.903 7.263 Å, 96.91 100.18 112.84°
Space group P1 (No. 1)
Asymmetric unit:
1 La 0.000 0.000 0.000
2 La 0.031 0.282 0.599
3 La 0.353 0.695 0.041
4 La 0.509 0.765 0.563
5 La 0.641 0.301 0.961
6 La 0.955 0.717 0.399
7 Nd 0.478 0.237 0.440
8 Ru 0.140 0.391 0.261
9 Ru 0.271 0.975 0.724
10 Ru 0.720 0.023 0.271
11 Ru 0.849 0.607 0.735

=====

[7]
For La3Nd2Ru2, a GGA-PBE-relaxed structure gives the theoretical X-ray powder pattern in this record (a wavelength of 1.5418 Å).
Intensities are scaled so that the largest is 100.

Principal peaks in the range 2θ = 10–90°, low angle first:
hkl, 2theta, d [Å], I/Imax
2 0 -3, 29.45, 3.033, 47
1 1 -2, 29.81, 2.997, 77
3 1 -1, 31.10, 2.875, 83
2 0 2, 31.67, 2.826, 100
3 1 0, 32.68, 2.740, 58
3 1 -2, 33.26, 2.694, 83
1 1 2, 34.40, 2.607, 44
1 1 -3, 37.64, 2.390, 71
0 2 0, 45.56, 1.991, 44
2 2 2, 56.54, 1.628, 41

Cell: 12.481 3.982 9.124 Å, 90.00 114.83 90.00°
Space group C2/m (No. 12)
Asymmetric unit:
1 La 0.000 0.000 0.000
2 La 0.117 0.000 0.423
3 Nd 0.173 0.500 0.812
4 Ru 0.179 0.500 0.241

=====

[8]
For La2NdTlRu, a GGA-PBE-relaxed structure gives the theoretical X-ray powder pattern in this record (a wavelength of 1.5418 Å).
Intensities are scaled so that the largest is 100.

Principal peaks in the range 2θ = 10–90°, low angle first:
hkl, 2theta, d [Å], I/Imax
1 0 1, 22.85, 3.891, 19
1 1 1, 28.33, 3.150, 100
0 0 2, 31.65, 2.827, 35
2 0 0, 33.41, 2.682, 66
2 0 2, 46.68, 1.946, 48
2 2 0, 47.97, 1.896, 24
1 1 3, 54.35, 1.688, 13
3 1 1, 56.65, 1.625, 29
2 2 2, 58.62, 1.575, 24
4 2 2, 88.57, 1.104, 16

Cell: 5.363 5.364 5.654 Å, 90.00 90.00 90.00°
Space group Pmm2 (No. 25)
Asymmetric unit:
1 La 0.000 0.000 0.000
2 La 0.500 0.500 0.071
3 Nd 0.000 0.500 0.535
4 Tl 0.500 0.000 0.534
5 Ru 0.000 0.500 0.035